Record 1
Diffraction record for Na7Tl3Pb. The powder X-ray diffraction pattern is simulated, not measured: it uses a structure optimized by DFT (PBE) and Cu Kα (weighted mean of Kα1 and Kα2).
No peak broadening, texture or thermal motion is included.

Main lines, by angle (2θ from 10° to 90°):
| hkl | 2θ/deg | I_rel |
| --- | --- | --- |
| 0 2 2 | 13.61 | 57 |
| 0 2 3 | 19.05 | 100 |
| 0 6 0 | 20.05 | 62 |
| 1 1 0 | 26.12 | 41 |
| 1 1 3 | 31.81 | 79 |
| 0 8 3 | 32.42 | 67 |
| 1 3 3 | 33.25 | 44 |
| 1 7 0 | 35.21 | 43 |

Atomic structure:
Cell: 3.440 26.566 14.920 Å, 90.00 90.00 90.00°
Space group Cmcm (No. 63)
Symmetry-distinct sites (fractional):
Na 0.000 0.021 0.117 [8 per cell]
Na 0.000 0.096 0.750 [4 per cell]
Na 0.000 0.158 0.089 [8 per cell]
Na 0.000 0.296 0.117 [8 per cell]
Tl 0.000 0.279 0.750 [4 per cell]
Tl 0.000 0.416 0.053 [8 per cell]
Pb 0.000 0.401 0.750 [4 per cell]

***

Record 2
Diffraction record for SnCl2F2. The powder X-ray diffraction pattern is simulated, not measured: it uses a structure optimized by DFT (PBE) and Cu Kα (weighted mean of Kα1 and Kα2).
No peak broadening, texture or thermal motion is included.

Main lines, by angle (2θ from 10° to 90°):
| hkl | 2θ/deg | I_rel |
| --- | --- | --- |
| 0 0 1 | 11.90 | 66 |
| 0 1 0 | 15.36 | 100 |
| 0 1 -1 | 16.24 | 79 |
| -1 1 1 | 22.24 | 60 |
| 1 -1 1 | 22.71 | 48 |
| 1 0 1 | 24.08 | 36 |
| 1 1 1 | 33.69 | 46 |
| 1 1 -3 | 36.41 | 32 |

Atomic structure:
Cell: 5.496 6.316 8.016 Å, 103.55 102.34 105.96°
Space group P-1 (No. 2)
Symmetry-distinct sites (fractional):
Sn 0.185 0.433 0.359 [2 per cell]
Cl 0.126 0.926 0.810 [2 per cell]
Cl 0.327 0.615 0.162 [2 per cell]
F 0.072 0.380 0.590 [2 per cell]
F 0.496 0.302 0.427 [2 per cell]

***

Record 3
Diffraction record for CrBiI6. The powder X-ray diffraction pattern is simulated, not measured: it uses a structure optimized by DFT (PBE) and Cu Kα (weighted mean of Kα1 and Kα2).
No peak broadening, texture or thermal motion is included.

Main lines, by angle (2θ from 10° to 90°):
| hkl | 2θ/deg | I_rel |
| --- | --- | --- |
| 0 1 2 | 16.60 | 28 |
| 1 0 4 | 22.77 | 14 |
| 1 1 3 | 27.87 | 100 |
| 2 -1 6 | 36.64 | 44 |
| 3 0 0 | 42.80 | 33 |
| 2 -1 9 | 48.21 | 19 |
| 4 -2 3 | 51.85 | 15 |
| 0 3 12 | 72.63 | 12 |

Atomic structure:
Cell: 7.3188 7.3188 19.8323 Å, 90.00 90.00 120.00°
Space group R-3 (No. 148, hexagonal axes)
Symmetry-distinct sites (fractional):
Cr 0.0000 0.0000 0.0000 [3 per cell]
Bi 0.0000 0.0000 0.5000 [3 per cell]
I 0.0143 0.6509 0.5885 [18 per cell]

***

Record 4
Diffraction record for Tb5Nd2Dy2. The powder X-ray diffraction pattern is simulated, not measured: it uses a structure optimized by DFT (PBE) and Cu Kα (weighted mean of Kα1 and Kα2).
No peak broadening, texture or thermal motion is included.

Main lines, by angle (2θ from 10° to 90°):
| hkl | 2θ/deg | I_rel |
| --- | --- | --- |
| 4 1 1 | 28.33 | 87 |
| 0 4 0 | 30.19 | 100 |
| 0 2 2 | 30.46 | 82 |
| 5 1 0 | 30.87 | 60 |
| 2 2 2 | 32.79 | 64 |
| 3 1 2 | 32.92 | 46 |
| 4 3 1 | 35.67 | 57 |
| 5 3 0 | 37.77 | 38 |

Atomic structure:
Cell: 14.938 11.841 6.757 Å, 90.00 90.00 90.00°
Space group Ima2 (No. 46)
Symmetry-distinct sites (fractional):
Tb 0.052 0.248 0.000 [8 per cell]
Tb 0.143 0.735 0.822 [8 per cell]
Tb 0.250 0.244 0.798 [4 per cell]
Nd 0.127 0.000 0.648 [8 per cell]
Dy 0.000 0.000 0.187 [4 per cell]
Dy 0.250 0.510 0.602 [4 per cell]

***

Record 5
Diffraction record for PuTh2GaN5. The powder X-ray diffraction pattern is simulated, not measured: it uses a structure optimized by DFT (PBE) and Cu Kα (weighted mean of Kα1 and Kα2).
No peak broadening, texture or thermal motion is included.

Main lines, by angle (2θ from 10° to 90°):
| hkl | 2θ/deg | I_rel |
| --- | --- | --- |
| 1 1 0 | 26.41 | 40 |
| 0 2 3 | 28.68 | 85 |
| 0 4 2 | 30.61 | 77 |
| 1 1 2 | 31.60 | 37 |
| 1 3 0 | 32.01 | 81 |
| 1 1 3 | 37.17 | 100 |
| 1 5 2 | 44.88 | 45 |
| 1 3 5 | 54.99 | 40 |

Atomic structure:
Cell: 3.476 14.115 10.405 Å, 90.00 90.00 90.00°
Space group Cmc2_1 (No. 36)
Symmetry-distinct sites (fractional):
Pu 0.000 0.203 0.000 [4 per cell]
Th 0.000 0.116 0.691 [4 per cell]
Th 0.000 0.132 0.291 [4 per cell]
Ga 0.000 0.491 0.472 [4 per cell]
N 0.000 0.045 0.048 [4 per cell]
N 0.000 0.289 0.647 [4 per cell]
N 0.000 0.303 0.353 [4 per cell]
N 0.000 0.363 0.010 [4 per cell]
N 0.000 0.493 0.783 [4 per cell]